This entry pairs a crystal structure of Mn2Ni7Sb2Pt with its theoretical powder diffractogram. Radiation: copper Kα. Structure: a cell relaxed with GGA-PBE.

Top 10 peaks for 2θ from 5° to 70°, by intensity:
41.17 deg, 2.193 Å, intensity 100, hkl 1 1 6
6.31 deg, 14.003 Å, intensity 90, hkl 0 0 2
43.92 deg, 2.061 Å, intensity 80, hkl 1 0 11
52.07 deg, 1.756 Å, intensity 67, hkl 2 0 0
30.03 deg, 2.976 Å, intensity 64, hkl 1 0 5
12.64 deg, 7.001 Å, intensity 46, hkl 0 0 4
36.16 deg, 2.484 Å, intensity 45, hkl 1 1 0
44.74 deg, 2.026 Å, intensity 38, hkl 1 1 8
49.02 deg, 1.858 Å, intensity 36, hkl 1 1 10
38.45 deg, 2.341 Å, intensity 24, hkl 1 1 4

a = 3.513 Å, b = 3.513 Å, c = 28.006 Å
α = 90.00°, β = 90.00°, γ = 90.00°
Space group I4/mmm (No. 139)
Symmetry-distinct sites (fractional):
Mn1 0.000 0.000 0.130 [4 per cell]
Ni1 0.000 0.000 0.000 [2 per cell]
Ni2 0.000 0.000 0.225 [4 per cell]
Ni3 0.000 0.500 0.068 [8 per cell]
Sb1 0.000 0.000 0.316 [4 per cell]
Pt1 0.000 0.000 0.500 [2 per cell]